Structure and theoretical powder X-ray diffraction pattern of SrSb5 (a DFT-relaxed cell (GGA-PBE, Alexandria); Cu Kα, 1.54184 Å).
Neutral-atom scattering factors, no anomalous dispersion.

Crystal structure
Lattice parameters (Å, degrees): 13.8243 4.4381 6.6594 90.00 114.09 90.00
Space group C2/m (No. 12)
One atom of each set of equivalent atoms:
Sr 0.0000 0.0000 0.0000 (multiplicity 2)
Sb 0.0000 0.0000 0.5000 (multiplicity 2)
Sb 0.1623 0.5000 0.4486 (multiplicity 4)
Sb 0.1710 0.5000 0.8914 (multiplicity 4)

Most intense lines, 2θ = 10–80°, in order of falling intensity:
d 3.053, 2θ = 29.25°, I 100, (3 1 0); d 2.568, 2θ = 34.94°, I 26, (3 1 -2); d 2.635, 2θ = 34.02°, I 24, (1 1 -2); d 3.040, 2θ = 29.38°, I 21, (0 0 2); d 2.219, 2θ = 40.66°, I 20, (0 2 0); d 2.103, 2θ = 43.00°, I 17, (6 0 0); d 2.845, 2θ = 31.45°, I 15, (4 0 -2); d 1.527, 2θ = 60.66°, I 12, (6 2 0); d 1.892, 2θ = 48.09°, I 11, (3 1 2); d 1.495, 2θ = 62.06°, I 11, (1 1 -4)

=====

Structure and theoretical powder X-ray diffraction pattern of SrSb5 (a DFT-relaxed cell (GGA-PBE, Alexandria); Cu Kα, 1.54184 Å).
Neutral-atom scattering factors, no anomalous dispersion.

Crystal structure
Lattice parameters (Å, degrees): 5.1358 4.1602 17.4818 90.00 90.00 90.00
Space group Amm2 (No. 38)
One atom of each set of equivalent atoms:
Sr 0.0000 0.0000 0.0000 (multiplicity 2)
Sb 0.0000 0.0000 0.3370 (multiplicity 2)
Sb 0.0000 0.0000 0.7111 (multiplicity 2)
Sb 0.5000 0.0000 0.1482 (multiplicity 2)
Sb 0.5000 0.0000 0.5288 (multiplicity 2)
Sb 0.5000 0.0000 0.8215 (multiplicity 2)

Most intense lines, 2θ = 10–80°, in order of falling intensity:
d 2.827, 2θ = 31.65°, I 100, (1 1 3); d 2.568, 2θ = 34.94°, I 23, (2 0 0); d 1.528, 2θ = 60.61°, I 15, (3 1 3); d 2.914, 2θ = 30.69°, I 15, (0 0 6); d 2.080, 2θ = 43.51°, I 12, (0 2 0); d 1.616, 2θ = 56.97°, I 11, (2 2 0); d 2.677, 2θ = 33.48°, I 10, (0 1 5); d 1.926, 2θ = 47.18°, I 9, (2 0 6); d 1.305, 2θ = 72.43°, I 9, (1 3 3); d 1.445, 2θ = 64.46°, I 8, (2 0 10)

=====

Structure and theoretical powder X-ray diffraction pattern of Sr2TcSb (a DFT-relaxed cell (GGA-PBE, Alexandria); Cu Kα, 1.54184 Å).
Neutral-atom scattering factors, no anomalous dispersion.

Crystal structure
Lattice parameters (Å, degrees): 4.9305 4.9305 4.6198 90.00 90.00 90.00
Space group P4/mmm (No. 123)
One atom of each set of equivalent atoms:
Sr 0.0000 0.5000 0.0000 (multiplicity 2)
Tc 0.0000 0.0000 0.5000 (multiplicity 1)
Sb 0.5000 0.5000 0.5000 (multiplicity 1)

Most intense lines, 2θ = 10–80°, in order of falling intensity:
d 2.783, 2θ = 32.17°, I 100, (1 1 1); d 2.465, 2θ = 36.45°, I 36, (2 0 0); d 1.477, 2θ = 62.91°, I 28, (3 1 1); d 1.686, 2θ = 54.43°, I 22, (2 0 2); d 2.310, 2θ = 38.99°, I 15, (0 0 2); d 1.743, 2θ = 52.49°, I 12, (2 2 0); d 1.409, 2θ = 66.36°, I 12, (1 1 3); d 1.391, 2θ = 67.29°, I 11, (2 2 2); d 1.233, 2θ = 77.43°, I 4, (4 0 0); d 4.620, 2θ = 19.21°, I 1, (0 0 1)

=====

Structure and theoretical powder X-ray diffraction pattern of Sr3SbTe4 (a DFT-relaxed cell (GGA-PBE, Alexandria); Cu Kα, 1.54184 Å).
Neutral-atom scattering factors, no anomalous dispersion.

Crystal structure
Lattice parameters (Å, degrees): 4.7574 4.7574 15.2546 90.00 90.00 120.00
Space group P-3m1 (No. 164)
One atom of each set of equivalent atoms:
Sr 0.0000 0.0000 0.0000 (multiplicity 1)
Sr 0.0000 0.0000 0.2637 (multiplicity 2)
Sb 0.0000 0.0000 0.5000 (multiplicity 1)
Te 0.3333 0.6667 0.3955 (multiplicity 2)
Te 0.3333 0.6667 0.8680 (multiplicity 2)

Most intense lines, 2θ = 10–80°, in order of falling intensity:
d 2.799, 2θ = 31.98°, I 100, (1 0 4); d 3.625, 2θ = 24.56°, I 94, (1 0 2); d 2.379, 2θ = 37.82°, I 66, (1 1 0); d 1.813, 2θ = 50.34°, I 27, (0 2 4); d 1.442, 2θ = 64.65°, I 26, (2 1 4); d 1.488, 2θ = 62.42°, I 20, (1 1 8); d 2.164, 2θ = 41.75°, I 18, (0 1 6); d 1.989, 2θ = 45.61°, I 18, (0 2 2); d 1.526, 2θ = 60.70°, I 15, (2 1 2); d 1.373, 2θ = 68.30°, I 11, (3 0 0)

=====

Structure and theoretical powder X-ray diffraction pattern of Sr6Tl5Sb (a DFT-relaxed cell (GGA-PBE, Alexandria); Cu Kα, 1.54184 Å).
Neutral-atom scattering factors, no anomalous dispersion.

Crystal structure
Lattice parameters (Å, degrees): 5.8209 17.7511 7.9749 90.00 90.00 90.00
Space group Cmmm (No. 65)
One atom of each set of equivalent atoms:
Sr 0.0000 0.0000 0.2409 (multiplicity 4)
Sr 0.0000 0.3377 0.2495 (multiplicity 8)
Tl 0.0000 0.1678 0.5000 (multiplicity 4)
Tl 0.0000 0.1810 0.0000 (multiplicity 4)
Tl 0.0000 0.5000 0.5000 (multiplicity 2)
Sb 0.0000 0.5000 0.0000 (multiplicity 2)

Most intense lines, 2θ = 10–80°, in order of falling intensity:
d 2.875, 2θ = 31.11°, I 100, (1 3 2); d 2.910, 2θ = 30.72°, I 26, (2 0 0); d 2.959, 2θ = 30.21°, I 26, (0 6 0); d 1.673, 2θ = 54.86°, I 20, (3 3 2); d 2.075, 2θ = 43.62°, I 19, (2 6 0); d 1.692, 2θ = 54.22°, I 18, (1 9 2); d 4.150, 2θ = 21.41°, I 15, (1 3 0); d 1.306, 2θ = 72.33°, I 12, (4 6 0); d 1.438, 2θ = 64.86°, I 12, (2 6 4); d 1.645, 2θ = 55.90°, I 10, (2 0 4)

=====

Structure and theoretical powder X-ray diffraction pattern of SrTlSb2 (a DFT-relaxed cell (GGA-PBE, Alexandria); Cu Kα, 1.54184 Å).
Neutral-atom scattering factors, no anomalous dispersion.

Crystal structure
Lattice parameters (Å, degrees): 4.9147 4.9147 10.0750 90.00 90.00 90.00
Space group I4/mmm (No. 139)
One atom of each set of equivalent atoms:
Sr 0.0000 0.0000 0.0000 (multiplicity 2)
Tl 0.0000 0.0000 0.5000 (multiplicity 2)
Sb 0.0000 0.5000 0.2500 (multiplicity 4)

Most intense lines, 2θ = 10–80°, in order of falling intensity:
d 2.861, 2θ = 31.27°, I 100, (1 1 2); d 2.457, 2θ = 36.57°, I 33, (2 0 0); d 1.485, 2θ = 62.54°, I 29, (3 1 2); d 1.759, 2θ = 51.99°, I 24, (2 0 4); d 2.519, 2θ = 35.65°, I 18, (0 0 4); d 1.512, 2θ = 61.31°, I 15, (1 1 6); d 4.417, 2θ = 20.10°, I 13, (1 0 1); d 1.430, 2θ = 65.23°, I 12, (2 2 4); d 1.738, 2θ = 52.68°, I 11, (2 2 0); d 2.147, 2θ = 42.08°, I 4, (2 1 1)